(1)
For Ba3Pm, a crystal structure in the Materials Project, relaxed with PBE gives the computed X-ray powder pattern in this record (Cu Kα, 1.54184 Å).

Top 10 peaks for 10 to 90 degrees two-theta, sorted by position:
3.436 Å, 2θ 25.9, intensity 100; 2.996 Å, 2θ 29.8, intensity 17; 2.966 Å, 2θ 30.1, intensity 34; 2.108 Å, 2θ 42.9, intensity 26; 2.097 Å, 2θ 43.1, intensity 13; 1.803 Å, 2θ 50.6, intensity 16; 1.790 Å, 2θ 51.0, intensity 31; 1.718 Å, 2θ 53.3, intensity 14; 1.367 Å, 2θ 68.6, intensity 13; 1.213 Å, 2θ 78.9, intensity 9

```
data_Ba3Pm
_chemical_formula_sum 'Ba3 Pm1'
_space_group_name_H-M_alt 'P 1'
_space_group_IT_number 1
_cell_length_a 7.314
_cell_length_b 7.314
_cell_length_c 7.314
_cell_angle_alpha 132.15
_cell_angle_beta 132.15
_cell_angle_gamma 69.99
loop_
_space_group_symop_operation_xyz
'x,y,z'
loop_
_atom_site_label
_atom_site_fract_x
_atom_site_fract_y
_atom_site_fract_z
Ba1 0.000 0.000 0.000
Ba2 0.250 0.750 0.500
Ba3 0.750 0.250 0.500
Pm1 0.500 0.500 0.000
```

=====

(2)
For BaPr2ZnS5, a crystal structure in the Materials Project, relaxed with PBE gives the computed X-ray powder pattern in this record (Cu Kα, 1.54184 Å).

Top 10 peaks for 10 to 90 degrees two-theta, sorted by position:
3.443 Å, 2θ 25.9, intensity 100; 2.812 Å, 2θ 31.8, intensity 81; 2.517 Å, 2θ 35.7, intensity 26; 2.176 Å, 2θ 41.5, intensity 37; 1.986 Å, 2θ 45.7, intensity 13; 1.912 Å, 2θ 47.6, intensity 18; 1.780 Å, 2θ 51.3, intensity 21; 1.580 Å, 2θ 58.4, intensity 16; 1.407 Å, 2θ 66.5, intensity 13; 1.238 Å, 2θ 77.0, intensity 11

```
data_BaPr2ZnS5
_chemical_formula_sum 'Ba2 Pr4 Zn2 S10'
_space_group_name_H-M_alt 'P 1'
_space_group_IT_number 1
_cell_length_a 8.884
_cell_length_b 8.884
_cell_length_c 8.884
_cell_angle_alpha 126.76
_cell_angle_beta 126.76
_cell_angle_gamma 78.64
loop_
_space_group_symop_operation_xyz
'x,y,z'
loop_
_atom_site_label
_atom_site_fract_x
_atom_site_fract_y
_atom_site_fract_z
Ba1 0.250 0.250 0.000
Ba2 0.750 0.750 0.000
Pr1 0.162 0.662 0.824
Pr2 0.338 0.162 0.500
Pr3 0.662 0.838 0.500
Pr4 0.838 0.338 0.176
Zn1 0.250 0.750 0.500
Zn2 0.750 0.250 0.500
S1 0.000 0.000 0.000
S2 0.014 0.217 0.500
S3 0.217 0.717 0.203
S4 0.283 0.486 0.500
S5 0.486 0.986 0.203
S6 0.500 0.500 0.000
S7 0.514 0.014 0.797
S8 0.717 0.514 0.500
S9 0.783 0.283 0.797
S10 0.986 0.783 0.500
```

=====

(3)
For BaPr2Se4, a crystal structure in the Materials Project, relaxed with PBE gives the computed X-ray powder pattern in this record (Cu Kα, 1.54184 Å).

Top 10 peaks for 10 to 90 degrees two-theta, sorted by position:
3.781 Å, 2θ 23.5, intensity 25; 2.929 Å, 2θ 30.5, intensity 100; 2.476 Å, 2θ 36.3, intensity 65; 2.071 Å, 2θ 43.7, intensity 24; 1.975 Å, 2θ 46.0, intensity 16; 1.890 Å, 2θ 48.1, intensity 11; 1.816 Å, 2θ 50.2, intensity 19; 1.503 Å, 2θ 61.7, intensity 21; 1.501 Å, 2θ 61.8, intensity 10; 1.261 Å, 2θ 75.4, intensity 10

```
data_BaPr2Se4
_chemical_formula_sum 'Ba2 Pr4 Se8'
_space_group_name_H-M_alt 'P 1'
_space_group_IT_number 1
_cell_length_a 8.021
_cell_length_b 8.021
_cell_length_c 8.021
_cell_angle_alpha 109.40
_cell_angle_beta 109.40
_cell_angle_gamma 109.62
loop_
_space_group_symop_operation_xyz
'x,y,z'
loop_
_atom_site_label
_atom_site_fract_x
_atom_site_fract_y
_atom_site_fract_z
Ba1 0.000 0.000 0.000
Ba2 0.750 0.250 0.500
Pr1 0.251 0.125 0.626
Pr2 0.375 0.749 0.874
Pr3 0.499 0.625 0.374
Pr4 0.875 0.501 0.126
Se1 0.141 0.395 0.410
Se2 0.145 0.391 0.910
Se3 0.269 0.859 0.254
Se4 0.481 0.235 0.090
Se5 0.605 0.015 0.746
Se6 0.609 0.519 0.754
Se7 0.765 0.855 0.246
Se8 0.985 0.731 0.590
```

=====

(4)
For BaPt5, a crystal structure in the Materials Project, relaxed with PBE gives the computed X-ray powder pattern in this record (Cu Kα, 1.54184 Å).

Top 10 peaks for 10 to 90 degrees two-theta, sorted by position:
4.880 Å, 2θ 18.2, intensity 39; 2.817 Å, 2θ 31.8, intensity 17; 2.440 Å, 2θ 36.8, intensity 29; 2.365 Å, 2θ 38.0, intensity 100; 2.177 Å, 2θ 41.5, intensity 31; 2.128 Å, 2θ 42.5, intensity 60; 1.625 Å, 2θ 56.7, intensity 20; 1.524 Å, 2θ 60.8, intensity 26; 1.408 Å, 2θ 66.4, intensity 29; 1.183 Å, 2θ 81.4, intensity 27

```
data_BaPt5
_chemical_formula_sum 'Ba1 Pt5'
_space_group_name_H-M_alt 'P 1'
_space_group_IT_number 1
_cell_length_a 5.635
_cell_length_b 5.635
_cell_length_c 4.353
_cell_angle_alpha 90.00
_cell_angle_beta 90.00
_cell_angle_gamma 120.00
loop_
_space_group_symop_operation_xyz
'x,y,z'
loop_
_atom_site_label
_atom_site_fract_x
_atom_site_fract_y
_atom_site_fract_z
Ba1 0.000 0.000 0.000
Pt1 0.000 0.500 0.500
Pt2 0.333 0.667 0.000
Pt3 0.500 0.000 0.500
Pt4 0.500 0.500 0.500
Pt5 0.667 0.333 0.000
```